Li5Ni5Sb2O12: simulated X-ray diffraction stick pattern (Cu Kα, 1.54184 Å), based on a crystal structure in the Materials Project, relaxed with PBE+U.
Peak positions follow from Bragg's law for the DFT cell and can differ from measured ones.

Peak list (10 most intense, 2θ = 10–80°, low angle first)
- 18.03 deg, 4.920 Å, I 679, (0 0 2)
- 19.42 deg, 4.571 Å, I 479, (0 2 0)
- 23.19 deg, 3.835 Å, I 600, (1 1 1)
- 31.03 deg, 2.882 Å, I 261, (1 1 -3)
- 34.58 deg, 2.594 Å, I 242, (1 3 -1)
- 36.35 deg, 2.472 Å, I 591, (1 3 1)
- 42.00 deg, 2.151 Å, I 1000, (1 3 -3)
- 42.80 deg, 2.113 Å, I 474, (2 0 2)
- 61.40 deg, 1.510 Å, I 286, (3 3 -1)
- 61.65 deg, 1.505 Å, I 286, (1 3 5)

```
data_Li5Ni5Sb2O12
_cell_length_a 5.2158
_cell_length_b 9.1419
_cell_length_c 10.0227
_cell_angle_alpha 90.00
_cell_angle_beta 100.96
_cell_angle_gamma 90.00
_space_group_name_H-M_alt 'C 1 2 1'
_space_group_IT_number 5
_space_group_name_Hall 'C 2y'
loop_
_atom_site_label
_atom_site_type_symbol
_atom_site_fract_x
_atom_site_fract_y
_atom_site_fract_z
Li1 Li 0.0000 0.0000 0.0000
Li2 Li 0.2483 0.8387 0.2432
Li3 Li 0.2489 0.9918 0.7550
Ni1 Ni 0.0000 0.3305 0.0000
Ni2 Ni 0.0000 0.5018 0.5000
Ni3 Ni 0.0000 0.8348 0.5000
Ni4 Ni 0.2488 0.1638 0.2473
Sb1 Sb 0.0000 0.1686 0.5000
Sb2 Sb 0.0000 0.6640 0.0000
O1 O 0.1154 0.5084 0.8823
O2 O 0.1180 0.6681 0.3804
O3 O 0.1276 0.8164 0.8816
O4 O 0.1287 0.0045 0.3764
O5 O 0.1295 0.3312 0.3766
O6 O 0.1403 0.1700 0.8821
```